Record 1
Theoretical powder XRD pattern of Al8Re7 for Cu Kα, from the PBE geometry in OQMD.
No peak broadening, texture or thermal motion is included.

Peak list (10 most intense, 5° ≤ 2θ ≤ 70°, in order of rising 2θ)
d 4.701, 2θ 18.9, I = 47; d 4.205, 2θ 21.1, I = 16; d 3.207, 2θ 27.8, I = 38; d 2.550, 2θ 35.2, I = 30; d 2.479, 2θ 36.2, I = 36; d 2.280, 2θ 39.5, I = 18; d 2.216, 2θ 40.7, I = 23; d 2.193, 2θ 41.2, I = 23; d 2.072, 2θ 43.7, I = 100; d 2.023, 2θ 44.8, I = 20

Lattice parameters (Å, degrees): 9.402 9.402 4.957 90.00 90.00 90.00
Space group P4_2/mnm (No. 136)
Asymmetric unit:
Al1 0.061 0.263 0.000
Al2 0.180 0.820 0.249
Re1 0.000 0.000 0.000
Re2 0.036 0.363 0.500
Re3 0.105 0.105 0.500

---

Record 2
Theoretical powder XRD pattern of Mg2GaNi3 for Cu Kα, from the PBE geometry in OQMD.
No peak broadening, texture or thermal motion is included.

Peak list (10 most intense, 5° ≤ 2θ ≤ 70°, in order of rising 2θ)
d 4.068, 2θ 21.8, I = 95; d 3.824, 2θ 23.3, I = 20; d 2.137, 2θ 42.3, I = 40; d 2.100, 2θ 43.1, I = 92; d 2.034, 2θ 44.5, I = 100; d 2.029, 2θ 44.7, I = 43; d 1.912, 2θ 47.6, I = 27; d 1.733, 2θ 52.8, I = 38; d 1.628, 2θ 56.5, I = 14; d 1.356, 2θ 69.3, I = 21

Lattice parameters (Å, degrees): 5.0242 5.0242 11.4708 90.00 90.00 120.00
Space group R-3m (No. 166, hexagonal axes)
Asymmetric unit:
Mg1 0.0000 0.0000 0.1236
Ga1 0.0000 0.0000 0.5000
Ni1 0.0000 0.5000 0.0000

---

Record 3
Theoretical powder XRD pattern of ZrAlBr7 for Cu Kα, from the PBE geometry in OQMD.
No peak broadening, texture or thermal motion is included.

Peak list (10 most intense, 5° ≤ 2θ ≤ 70°, in order of rising 2θ)
d 7.699, 2θ 11.5, I = 80; d 7.265, 2θ 12.2, I = 62; d 5.713, 2θ 15.5, I = 58; d 4.906, 2θ 18.1, I = 47; d 3.345, 2θ 26.6, I = 94; d 3.170, 2θ 28.1, I = 100; d 3.152, 2θ 28.3, I = 41; d 3.117, 2θ 28.6, I = 62; d 2.869, 2θ 31.2, I = 47; d 2.710, 2θ 33.1, I = 71

Lattice parameters (Å, degrees): 7.342 6.366 15.562 90.00 98.33 90.00
Space group Pc (No. 7)
Asymmetric unit:
Zr1 0.000 0.074 0.000
Al1 0.736 0.483 0.856
Br1 0.032 0.336 0.853
Br2 0.173 0.323 0.105
Br3 0.261 0.140 0.461
Br4 0.525 0.376 0.744
Br5 0.676 0.334 0.988
Br6 0.751 0.149 0.357
Br7 0.861 0.151 0.604

---

Record 4
Theoretical powder XRD pattern of TmZrHgC for Cu Kα, from the PBE geometry in OQMD.
No peak broadening, texture or thermal motion is included.

Peak list (10 most intense, 5° ≤ 2θ ≤ 70°, in order of rising 2θ)
d 7.627, 2θ 11.6, I = 8; d 2.975, 2θ 30.0, I = 22; d 2.920, 2θ 30.6, I = 6; d 2.567, 2θ 34.9, I = 100; d 2.542, 2θ 35.3, I = 21; d 1.933, 2θ 47.0, I = 16; d 1.717, 2θ 53.3, I = 21; d 1.473, 2θ 63.1, I = 18; d 1.427, 2θ 65.4, I = 16; d 1.423, 2θ 65.6, I = 21

Lattice parameters (Å, degrees): 3.4347 3.4347 15.2534 90.00 90.00 120.00
Space group P6_3mc (No. 186)
Asymmetric unit:
Tm1 0.3333 0.6667 0.0000
Zr1 0.3333 0.6667 0.6715
Hg1 0.3333 0.6667 0.3324
C1 0.0000 0.0000 0.0958

---

Record 5
Theoretical powder XRD pattern of YLuZn2Si2 for Cu Kα, from the PBE geometry in OQMD.
No peak broadening, texture or thermal motion is included.

Peak list (10 most intense, 5° ≤ 2θ ≤ 70°, in order of rising 2θ)
d 7.704, 2θ 11.5, I = 20; d 3.577, 2θ 24.9, I = 24; d 3.484, 2θ 25.6, I = 6; d 3.244, 2θ 27.5, I = 6; d 2.621, 2θ 34.2, I = 100; d 2.065, 2θ 43.8, I = 42; d 1.926, 2θ 47.2, I = 9; d 1.696, 2θ 54.1, I = 8; d 1.622, 2θ 56.7, I = 23; d 1.409, 2θ 66.4, I = 18

Lattice parameters (Å, degrees): 4.1305 4.1305 15.4086 90.00 90.00 120.00
Space group P6_3/mmc (No. 194)
Asymmetric unit:
Y1 0.0000 0.0000 0.0000
Lu1 0.0000 0.0000 0.2500
Zn1 0.3333 0.6667 0.1429
Si1 0.3333 0.6667 0.6201

---

Record 6
Theoretical powder XRD pattern of PbAu7 for Cu Kα, from the PBE geometry in OQMD.
No peak broadening, texture or thermal motion is included.

Peak list (10 most intense, 5° ≤ 2θ ≤ 70°, in order of rising 2θ)
d 14.537, 2θ 6.1, I = 28; d 2.476, 2θ 36.3, I = 16; d 2.469, 2θ 36.4, I = 33; d 2.461, 2θ 36.5, I = 16; d 2.397, 2θ 37.5, I = 50; d 2.390, 2θ 37.6, I = 100; d 2.382, 2θ 37.8, I = 49; d 2.117, 2θ 42.7, I = 95; d 2.077, 2θ 43.6, I = 18; d 1.982, 2θ 45.8, I = 21

Lattice parameters (Å, degrees): 2.988 3.001 43.611 89.82 89.80 89.99
Space group P-1 (No. 2)
Asymmetric unit:
Pb1 0.250 0.250 0.146
Au1 0.249 0.249 0.800
Au2 0.250 0.250 0.247
Au3 0.250 0.250 0.340
Au4 0.250 0.250 0.432
Au5 0.250 0.250 0.523
Au6 0.250 0.250 0.614
Au7 0.250 0.250 0.707

---

Record 7
Theoretical powder XRD pattern of CdNi7 for Cu Kα, from the PBE geometry in OQMD.
No peak broadening, texture or thermal motion is included.

Peak list (10 most intense, 5° ≤ 2θ ≤ 70°, in order of rising 2θ)
d 12.026, 2θ 7.4, I = 20; d 7.215, 2θ 12.3, I = 10; d 2.532, 2θ 35.5, I = 7; d 2.319, 2θ 38.8, I = 10; d 2.164, 2θ 41.7, I = 12; d 2.086, 2θ 43.4, I = 50; d 2.010, 2θ 45.1, I = 100; d 1.912, 2θ 47.6, I = 65; d 1.569, 2θ 58.9, I = 7; d 1.352, 2θ 69.5, I = 19

Lattice parameters (Å, degrees): 2.704 2.704 36.077 90.00 90.00 90.00
Space group P4mm (No. 99)
Asymmetric unit:
Cd1 0.000 0.000 0.000
Cd2 0.500 0.500 0.346
Ni1 0.000 0.000 0.401
Ni2 0.000 0.000 0.484
Ni3 0.000 0.000 0.568
Ni4 0.000 0.000 0.652
Ni5 0.000 0.000 0.737
Ni6 0.000 0.000 0.821
Ni7 0.000 0.000 0.904
Ni8 0.500 0.500 0.443
Ni9 0.500 0.500 0.526
Ni10 0.500 0.500 0.610
Ni11 0.500 0.500 0.694
Ni12 0.500 0.500 0.779
Ni13 0.500 0.500 0.862
Ni14 0.500 0.500 0.945